Entry 1:
# PmTl2I6
Computed XRD peak list, a wavelength of 1.5418 Å. Input: DFT lattice parameters and positions (GGA-PBE).

Top 6 peaks for 10 to 90 degrees two-theta, in order of falling intensity:
2θ 27.9, 3.201 Å, I = 1000
2θ 27.2, 3.282 Å, I = 967
2θ 29.8, 2.999 Å, I = 911
2θ 33.3, 2.694 Å, I = 718
2θ 28.9, 3.085 Å, I = 484
2θ 34.5, 2.600 Å, I = 474

Crystal structure
a b c (Å): 4.4737 9.6791 9.6791
angles (deg): 123.39 90.00 90.00
Fractional positions:
1 Pm 0.0000 0.0000 0.0000
2 Tl 0.5000 0.3175 0.6572
3 Tl 0.5000 0.6572 0.3175
4 I 0.0000 0.0016 0.3933
5 I 0.0000 0.3933 0.0016
6 I 0.0000 0.6320 0.6320
7 I 0.5000 0.0041 0.7649
8 I 0.5000 0.2507 0.2507
9 I 0.5000 0.7649 0.0041

---

Entry 2:
# Mg7Cd2Pb2
Computed XRD peak list, a wavelength of 1.5418 Å. Input: DFT lattice parameters and positions (GGA-PBE).

Top 6 peaks for 10 to 90 degrees two-theta, in order of falling intensity:
2θ 23.1, 3.847 Å, I = 1000
2θ 15.8, 5.609 Å, I = 996
2θ 35.7, 2.513 Å, I = 989
2θ 10.7, 8.267 Å, I = 716
2θ 36.1, 2.490 Å, I = 707
2θ 24.7, 3.611 Å, I = 638

Crystal structure
a b c (Å): 5.7307 5.7307 8.4119
angles (deg): 96.91 96.91 98.66
Fractional positions:
1 Mg 0.0000 0.0000 0.0000
2 Mg 0.0833 0.4566 0.8120
3 Mg 0.1288 0.1288 0.3721
4 Mg 0.4566 0.0833 0.8120
5 Mg 0.5434 0.9167 0.1880
6 Mg 0.8712 0.8712 0.6279
7 Mg 0.9167 0.5434 0.1880
8 Cd 0.3840 0.3840 0.1290
9 Cd 0.6160 0.6160 0.8710
10 Pb 0.3113 0.6887 0.5000
11 Pb 0.6887 0.3113 0.5000

---

Entry 3:
# Tm3Sc8
Computed XRD peak list, a wavelength of 1.5418 Å. Input: DFT lattice parameters and positions (GGA-PBE).

Top 6 peaks for 10 to 90 degrees two-theta, in order of falling intensity:
2θ 34.8, 2.581 Å, I = 1000
2θ 33.6, 2.666 Å, I = 290
2θ 16.9, 5.239 Å, I = 254
2θ 28.9, 3.087 Å, I = 217
2θ 31.6, 2.829 Å, I = 210
2θ 26.9, 3.310 Å, I = 181

Crystal structure
a b c (Å): 6.2672 6.2672 14.4063
angles (deg): 106.40 106.40 32.01
Fractional positions:
1 Tm 0.0000 0.0000 0.0000
2 Tm 0.0961 0.0961 0.6147
3 Tm 0.9039 0.9039 0.3853
4 Sc 0.1912 0.1912 0.2390
5 Sc 0.2352 0.2352 0.9123
6 Sc 0.3500 0.3500 0.5746
7 Sc 0.4697 0.4697 0.2093
8 Sc 0.5303 0.5303 0.7907
9 Sc 0.6500 0.6500 0.4254
10 Sc 0.7648 0.7648 0.0877
11 Sc 0.8088 0.8088 0.7610

---

Entry 4:
# Sm4YMg
Computed XRD peak list, a wavelength of 1.5418 Å. Input: DFT lattice parameters and positions (GGA-PBE).

Top 6 peaks for 10 to 90 degrees two-theta, in order of falling intensity:
2θ 32.8, 2.726 Å, I = 1000
2θ 29.9, 2.988 Å, I = 498
2θ 32.9, 2.719 Å, I = 490
2θ 31.2, 2.870 Å, I = 480
2θ 51.1, 1.787 Å, I = 357
2θ 61.0, 1.519 Å, I = 209

Crystal structure
a b c (Å): 6.1896 6.1896 12.0380
angles (deg): 105.12 105.12 60.01
Fractional positions:
1 Sm 0.1623 0.6749 0.5007
2 Sm 0.2511 0.4144 0.7499
3 Sm 0.3251 0.8377 0.9993
4 Sm 0.4144 0.2511 0.2499
5 Sm 0.5856 0.7489 0.7501
6 Sm 0.6749 0.1623 0.0007
7 Sm 0.7489 0.5856 0.2501
8 Sm 0.8377 0.3251 0.4993
9 Y 0.0000 0.5000 0.0000
10 Y 0.5000 0.0000 0.5000
11 Mg 0.0848 0.9152 0.2500
12 Mg 0.9152 0.0848 0.7500

---

Entry 5:
# Pm6Y2Ho3Mg
Computed XRD peak list, a wavelength of 1.5418 Å. Input: DFT lattice parameters and positions (GGA-PBE).

Top 6 peaks for 10 to 90 degrees two-theta, in order of falling intensity:
2θ 30.6, 2.923 Å, I = 1000
2θ 35.5, 2.525 Å, I = 668
2θ 30.9, 2.896 Å, I = 325
2θ 60.8, 1.524 Å, I = 281
2θ 51.0, 1.792 Å, I = 239
2θ 51.3, 1.780 Å, I = 234

Crystal structure
a b c (Å): 6.2082 6.2082 11.7689
angles (deg): 95.06 95.06 120.03
Fractional positions:
1 Pm 0.0826 0.4147 0.7498
2 Pm 0.2494 0.2494 0.2490
3 Pm 0.4147 0.0826 0.7498
4 Pm 0.5853 0.9174 0.2502
5 Pm 0.7506 0.7506 0.7510
6 Pm 0.9174 0.5853 0.2502
7 Y 0.3335 0.6665 0.5000
8 Y 0.6665 0.3335 0.5000
9 Ho 0.1665 0.8335 0.0000
10 Ho 0.5000 0.5000 0.0000
11 Ho 0.8335 0.1665 0.0000
12 Mg 0.0000 0.0000 0.5000

---

Entry 6:
# NaBeSi3HO8
Computed XRD peak list, a wavelength of 1.5418 Å. Input: DFT lattice parameters and positions (GGA-PBE).

Top 6 peaks for 10 to 90 degrees two-theta, in order of falling intensity:
2θ 28.0, 3.191 Å, I = 1000
2θ 28.8, 3.098 Å, I = 752
2θ 26.0, 3.427 Å, I = 747
2θ 13.9, 6.394 Å, I = 586
2θ 28.6, 3.116 Å, I = 545
2θ 27.8, 3.208 Å, I = 481

Crystal structure
a b c (Å): 7.3760 7.4079 14.1170
angles (deg): 78.10 78.09 60.64
Fractional positions:
1 Na 0.1270 0.3288 0.4221
2 Na 0.1903 0.3691 0.0708
3 Na 0.8097 0.6309 0.9292
4 Na 0.8730 0.6712 0.5779
5 Be 0.0099 0.1527 0.9974
6 Be 0.3460 0.4903 0.5035
7 Be 0.6540 0.5097 0.4965
8 Be 0.9901 0.8473 0.0026
9 Si 0.1440 0.8486 0.3675
10 Si 0.2747 0.8153 0.1427
11 Si 0.3170 0.7791 0.6396
12 Si 0.3503 0.6468 0.8660
13 Si 0.3786 0.0617 0.8618
14 Si 0.4380 0.1226 0.6379
15 Si 0.5620 0.8774 0.3621
16 Si 0.6214 0.9383 0.1382
17 Si 0.6497 0.3532 0.1340
18 Si 0.6830 0.2209 0.3604
19 Si 0.7253 0.1847 0.8573
20 Si 0.8560 0.1514 0.6325
21 H 0.0540 0.4260 0.7538
22 H 0.0589 0.6288 0.7553
23 H 0.9411 0.3712 0.2447
24 H 0.9460 0.5740 0.2462
25 O 0.0402 0.4230 0.2467
26 O 0.0824 0.9444 0.6123
27 O 0.0964 0.9225 0.0699
28 O 0.1543 0.6527 0.4452
29 O 0.1543 0.6562 0.9440
30 O 0.1704 0.7998 0.2559
31 O 0.1935 0.1995 0.9384
32 O 0.2905 0.6824 0.7547
33 O 0.2978 0.3085 0.5624
34 O 0.3168 0.9241 0.3743
35 O 0.3239 0.1717 0.7500
36 O 0.3921 0.9610 0.1279
37 O 0.4244 0.5958 0.5701
38 O 0.4291 0.8156 0.8745
39 O 0.4425 0.5799 0.1172
40 O 0.4654 0.8924 0.6260
41 O 0.5346 0.1076 0.3740
42 O 0.5575 0.4201 0.8828
43 O 0.5709 0.1844 0.1255
44 O 0.5756 0.4042 0.4299
45 O 0.6079 0.0390 0.8721
46 O 0.6761 0.8283 0.2500
47 O 0.6832 0.0759 0.6257
48 O 0.7022 0.6915 0.4376
49 O 0.7095 0.3176 0.2453
50 O 0.8065 0.8005 0.0616
51 O 0.8296 0.2002 0.7441
52 O 0.8457 0.3438 0.0560
53 O 0.8457 0.3473 0.5548
54 O 0.9036 0.0775 0.9301
55 O 0.9176 0.0556 0.3877
56 O 0.9598 0.5770 0.7533

---

Entry 7:
# NpTcSn
Computed XRD peak list, a wavelength of 1.5418 Å. Input: DFT lattice parameters and positions (GGA-PBE).

Top 6 peaks for 10 to 90 degrees two-theta, in order of falling intensity:
2θ 13.4, 6.630 Å, I = 1000
2θ 35.6, 2.525 Å, I = 888
2θ 38.1, 2.361 Å, I = 771
2θ 38.5, 2.339 Å, I = 600
2θ 25.8, 3.459 Å, I = 570
2θ 37.3, 2.408 Å, I = 525

Crystal structure
a b c (Å): 4.5677 4.7468 6.8325
angles (deg): 87.62 76.62 63.43
Fractional positions:
1 Np 0.2145 0.3728 0.0936
2 Np 0.7855 0.6272 0.9064
3 Tc 0.2578 0.8422 0.8133
4 Tc 0.7422 0.1578 0.1867
5 Sn 0.3864 0.7927 0.3817
6 Sn 0.6136 0.2073 0.6183

---

Entry 8:
# Sc2Zn5Ni
Computed XRD peak list, a wavelength of 1.5418 Å. Input: DFT lattice parameters and positions (GGA-PBE).

Top 6 peaks for 10 to 90 degrees two-theta, in order of falling intensity:
2θ 36.9, 2.434 Å, I = 1000
2θ 36.4, 2.468 Å, I = 862
2θ 40.2, 2.243 Å, I = 692
2θ 43.6, 2.076 Å, I = 384
2θ 53.3, 1.720 Å, I = 377
2θ 43.2, 2.095 Å, I = 346

Crystal structure
a b c (Å): 8.7846 8.7846 9.0104
angles (deg): 90.00 90.00 157.42
Fractional positions:
1 Sc 0.0000 0.0000 0.0000
2 Sc 0.0000 0.0000 0.5000
3 Sc 0.1649 0.8351 0.7500
4 Sc 0.8351 0.1649 0.2500
5 Zn 0.2168 0.7832 0.1061
6 Zn 0.2168 0.7832 0.3939
7 Zn 0.3704 0.6296 0.0196
8 Zn 0.3704 0.6296 0.4804
9 Zn 0.4049 0.5951 0.7500
10 Zn 0.5951 0.4049 0.2500
11 Zn 0.6296 0.3704 0.5196
12 Zn 0.6296 0.3704 0.9804
13 Zn 0.7832 0.2168 0.6061
14 Zn 0.7832 0.2168 0.8939
15 Ni 0.4531 0.5469 0.2500
16 Ni 0.5469 0.4531 0.7500

---

What did the third record say?
# Tm3Sc8
Computed XRD peak list, a wavelength of 1.5418 Å. Input: DFT lattice parameters and positions (GGA-PBE).

Top 6 peaks for 10 to 90 degrees two-theta, in order of falling intensity:
2θ 34.8, 2.581 Å, I = 1000
2θ 33.6, 2.666 Å, I = 290
2θ 16.9, 5.239 Å, I = 254
2θ 28.9, 3.087 Å, I = 217
2θ 31.6, 2.829 Å, I = 210
2θ 26.9, 3.310 Å, I = 181

Crystal structure
a b c (Å): 6.2672 6.2672 14.4063
angles (deg): 106.40 106.40 32.01
Fractional positions:
1 Tm 0.0000 0.0000 0.0000
2 Tm 0.0961 0.0961 0.6147
3 Tm 0.9039 0.9039 0.3853
4 Sc 0.1912 0.1912 0.2390
5 Sc 0.2352 0.2352 0.9123
6 Sc 0.3500 0.3500 0.5746
7 Sc 0.4697 0.4697 0.2093
8 Sc 0.5303 0.5303 0.7907
9 Sc 0.6500 0.6500 0.4254
10 Sc 0.7648 0.7648 0.0877
11 Sc 0.8088 0.8088 0.7610